This entry pairs a crystal structure of Zr6Ni20P13 with its calculated XRD peak list. Radiation: Cu Kα, 1.54184 Å. Structure: a PBE-relaxed structure.
Intensities are scaled so that the largest is 1000.

Main lines, in order of rising 2θ (2θ = 10–80°):
29.8°, intensity 83; 38.0°, intensity 117; 38.9°, intensity 1000; 41.6°, intensity 87; 44.2°, intensity 79; 44.3°, intensity 77; 46.8°, intensity 86; 50.2°, intensity 211; 52.9°, intensity 245; 75.9°, intensity 158

Cell and atoms:
Lattice parameters (Å, degrees): 12.4872 12.4872 3.6366 90.00 90.00 120.00
Space group P-6 (No. 174)
Inequivalent atoms, fractional coordinates:
Zr1 0.0507 0.1928 0.0000 (multiplicity 3)
Zr2 0.5247 0.3849 0.5000 (multiplicity 3)
Ni1 0.0000 0.0000 0.5000 (multiplicity 1)
Ni2 0.0100 0.4149 0.0000 (multiplicity 3)
Ni3 0.0882 0.7458 0.5000 (multiplicity 3)
Ni4 0.1347 0.5726 0.5000 (multiplicity 3)
Ni5 0.2515 0.5062 0.0000 (multiplicity 3)
Ni6 0.3124 0.2307 0.0000 (multiplicity 3)
Ni7 0.3539 0.1053 0.5000 (multiplicity 3)
Ni8 0.6667 0.3333 0.0000 (multiplicity 1)
P1 0.0481 0.6139 0.0000 (multiplicity 3)
P2 0.0997 0.3799 0.5000 (multiplicity 3)
P3 0.1934 0.1403 0.5000 (multiplicity 3)
P4 0.3333 0.6667 0.5000 (multiplicity 1)
P5 0.4738 0.1938 0.0000 (multiplicity 3)


This entry pairs a crystal structure of ZrNiP2 with its calculated XRD peak list. Radiation: Cu Kα, 1.54184 Å. Structure: a PBE-relaxed structure.
Intensities are scaled so that the largest is 1000.

Main lines, in order of rising 2θ (2θ = 10–80°):
26.6°, intensity 362; 31.8°, intensity 141; 39.1°, intensity 250; 40.2°, intensity 160; 40.7°, intensity 1000; 50.6°, intensity 318; 57.4°, intensity 99; 65.8°, intensity 103; 66.5°, intensity 134; 74.4°, intensity 97

Cell and atoms:
Lattice parameters (Å, degrees): 3.608 3.608 8.969 90.00 90.00 90.00
Space group P4/nmm (No. 129, origin choice 2)
Inequivalent atoms, fractional coordinates:
Zr1 0.250 0.250 0.230 (multiplicity 2)
Ni1 0.250 0.750 0.500 (multiplicity 2)
P1 0.250 0.250 0.655 (multiplicity 2)
P2 0.250 0.750 0.000 (multiplicity 2)


This entry pairs a crystal structure of PaNi2Sb with its calculated XRD peak list. Radiation: Cu Kα, 1.54184 Å. Structure: a PBE-relaxed structure.
Intensities are scaled so that the largest is 1000.

Main lines, in order of rising 2θ (2θ = 10–80°):
23.6°, intensity 112; 27.3°, intensity 257; 39.0°, intensity 1000; 46.1°, intensity 63; 48.3°, intensity 77; 56.3°, intensity 169; 61.9°, intensity 28; 63.7°, intensity 106; 70.6°, intensity 341; 75.7°, intensity 22

Cell and atoms:
Lattice parameters (Å, degrees): 6.532 6.532 6.532 90.00 90.00 90.00
Space group Fm-3m (No. 225)
Inequivalent atoms, fractional coordinates:
Pa1 0.000 0.000 0.000 (multiplicity 4)
Ni1 0.250 0.250 0.250 (multiplicity 8)
Sb1 0.000 0.000 0.500 (multiplicity 4)


This entry pairs a crystal structure of PaZnNi2 with its calculated XRD peak list. Radiation: Cu Kα, 1.54184 Å. Structure: a PBE-relaxed structure.
Intensities are scaled so that the largest is 1000.

Main lines, in order of rising 2θ (2θ = 10–80°):
24.5°, intensity 314; 28.4°, intensity 192; 40.6°, intensity 1000; 48.0°, intensity 167; 50.3°, intensity 58; 58.7°, intensity 166; 64.6°, intensity 73; 66.5°, intensity 79; 73.8°, intensity 332; 79.1°, intensity 57

Cell and atoms:
Lattice parameters (Å, degrees): 6.288 6.288 6.288 90.00 90.00 90.00
Space group Fm-3m (No. 225)
Inequivalent atoms, fractional coordinates:
Pa1 0.000 0.000 0.000 (multiplicity 4)
Zn1 0.000 0.000 0.500 (multiplicity 4)
Ni1 0.250 0.250 0.250 (multiplicity 8)


This entry pairs a crystal structure of Ni3Pb with its calculated XRD peak list. Radiation: Cu Kα, 1.54184 Å. Structure: a PBE-relaxed structure.
Intensities are scaled so that the largest is 1000.

Main lines, in order of rising 2θ (2θ = 10–80°):
23.4°, intensity 376; 33.3°, intensity 321; 41.0°, intensity 1000; 47.8°, intensity 481; 53.8°, intensity 177; 59.4°, intensity 134; 69.9°, intensity 300; 74.8°, intensity 91; 79.6°, intensity 63

Cell and atoms:
Lattice parameters (Å, degrees): 3.809 3.809 3.809 90.00 90.00 90.00
Space group Pm-3m (No. 221)
Inequivalent atoms, fractional coordinates:
Ni1 0.000 0.000 0.500 (multiplicity 3)
Pb1 0.500 0.500 0.500 (multiplicity 1)


This entry pairs a crystal structure of Ni3Pb2S2 with its calculated XRD peak list. Radiation: Cu Kα, 1.54184 Å. Structure: a PBE-relaxed structure.
Intensities are scaled so that the largest is 1000.

Main lines, in order of rising 2θ (2θ = 10–80°):
22.2°, intensity 1000; 31.5°, intensity 970; 31.7°, intensity 914; 38.9°, intensity 970; 39.2°, intensity 337; 45.3°, intensity 926; 51.1°, intensity 283; 56.2°, intensity 369; 65.8°, intensity 307; 66.2°, intensity 274

Cell and atoms:
Lattice parameters (Å, degrees): 5.6753 5.6753 13.7953 90.00 90.00 120.00
Space group R-3m (No. 166, hexagonal axes)
Inequivalent atoms, fractional coordinates:
Ni1 0.0000 0.5000 0.0000 (multiplicity 9)
Pb1 0.0000 0.0000 0.0000 (multiplicity 3)
Pb2 0.0000 0.0000 0.5000 (multiplicity 3)
S1 0.0000 0.0000 0.2289 (multiplicity 6)


This entry pairs a crystal structure of Ni3Pb2S2 with its calculated XRD peak list. Radiation: Cu Kα, 1.54184 Å. Structure: a PBE-relaxed structure.
Intensities are scaled so that the largest is 1000.

Main lines, in order of rising 2θ (2θ = 10–80°):
22.1°, intensity 523; 31.4°, intensity 1000; 38.8°, intensity 682; 45.1°, intensity 492; 50.7°, intensity 271; 56.0°, intensity 381; 65.6°, intensity 307; 70.2°, intensity 138; 74.6°, intensity 162; 78.9°, intensity 262

Cell and atoms:
Lattice parameters (Å, degrees): 8.047 8.047 8.047 90.00 90.00 90.00
Space group I2_13 (No. 199)
Inequivalent atoms, fractional coordinates:
Ni1 0.000 0.000 0.250 (multiplicity 12)
Pb1 0.244 0.256 0.744 (multiplicity 8)
S1 0.017 0.483 0.517 (multiplicity 8)


This entry pairs a crystal structure of SmNiPb with its calculated XRD peak list. Radiation: Cu Kα, 1.54184 Å. Structure: a PBE-relaxed structure.
Intensities are scaled so that the largest is 1000.

Main lines, in order of rising 2θ (2θ = 10–80°):
25.5°, intensity 358; 32.4°, intensity 504; 33.3°, intensity 1000; 33.4°, intensity 408; 38.6°, intensity 339; 39.3°, intensity 476; 39.6°, intensity 695; 52.5°, intensity 227; 56.2°, intensity 228; 64.1°, intensity 291

Cell and atoms:
Lattice parameters (Å, degrees): 7.332 4.590 7.871 90.00 90.00 90.00
Space group Pnma (No. 62)
Inequivalent atoms, fractional coordinates:
Sm1 0.012 0.250 0.202 (multiplicity 4)
Ni1 0.212 0.750 0.413 (multiplicity 4)
Pb1 0.187 0.250 0.583 (multiplicity 4)